# 1
Simulated powder XRD pattern of Ga4O5 for Cu Kα (weighted mean of Kα1 and Kα2), from a DFT-relaxed cell (GGA-PBE, Alexandria).
Neutral-atom scattering factors, no anomalous dispersion.

Top 10 peaks for 2θ from 10° to 90°, in order of rising 2θ:
| (hkl) | 2θ (°) | Rel. int. |
| --- | --- | --- |
| 1 1 3 | 30.3 | 55 |
| 1 3 1 | 30.7 | 33 |
| 2 2 2 | 32.7 | 100 |
| 4 0 0 | 40.4 | 28 |
| 3 1 3 | 41.9 | 15 |
| 1 1 5 | 48.0 | 18 |
| 1 5 1 | 48.8 | 17 |
| 3 1 5 | 56.6 | 15 |
| 2 4 4 | 57.0 | 28 |
| 5 3 1 | 59.8 | 15 |

Atomic structure:
Cell: 8.936 9.714 9.894 Å, 90.00 90.00 90.00°
Space group Fddd (No. 70, origin choice 2)
One atom of each set of equivalent atoms:
Ga 0.007 0.293 0.050 [32 per cell]
O 0.053 0.009 0.385 [32 per cell]
O 0.125 0.125 0.125 [8 per cell]

=====

# 2
Simulated powder XRD pattern of Rb2NbPtI6 for Cu Kα (weighted mean of Kα1 and Kα2), from a DFT-relaxed cell (GGA-PBE, Alexandria).
Neutral-atom scattering factors, no anomalous dispersion.

Top 10 peaks for 2θ from 10° to 90°, in order of rising 2θ:
| (hkl) | 2θ (°) | Rel. int. |
| --- | --- | --- |
| 0 0 2 | 14.0 | 35 |
| 1 1 0 | 15.8 | 50 |
| 2 0 2 | 26.5 | 87 |
| 0 0 4 | 28.1 | 65 |
| 2 2 0 | 31.9 | 100 |
| 2 2 4 | 43.0 | 80 |
| 4 0 0 | 45.7 | 36 |
| 4 2 2 | 53.6 | 23 |
| 4 0 4 | 54.5 | 40 |
| 6 2 4 | 82.7 | 24 |

Atomic structure:
Cell: 7.939 7.939 12.688 Å, 90.00 90.00 90.00°
Space group I4/mmm (No. 139)
One atom of each set of equivalent atoms:
Rb 0.000 0.500 0.250 [4 per cell]
Nb 0.000 0.000 0.000 [2 per cell]
Pt 0.000 0.000 0.500 [2 per cell]
I 0.000 0.000 0.226 [4 per cell]
I 0.244 0.244 0.500 [8 per cell]

=====

Repeat the first record exactly.
Simulated powder XRD pattern of Ga4O5 for Cu Kα (weighted mean of Kα1 and Kα2), from a DFT-relaxed cell (GGA-PBE, Alexandria).
Neutral-atom scattering factors, no anomalous dispersion.

Top 10 peaks for 2θ from 10° to 90°, in order of rising 2θ:
| (hkl) | 2θ (°) | Rel. int. |
| --- | --- | --- |
| 1 1 3 | 30.3 | 55 |
| 1 3 1 | 30.7 | 33 |
| 2 2 2 | 32.7 | 100 |
| 4 0 0 | 40.4 | 28 |
| 3 1 3 | 41.9 | 15 |
| 1 1 5 | 48.0 | 18 |
| 1 5 1 | 48.8 | 17 |
| 3 1 5 | 56.6 | 15 |
| 2 4 4 | 57.0 | 28 |
| 5 3 1 | 59.8 | 15 |

Atomic structure:
Cell: 8.936 9.714 9.894 Å, 90.00 90.00 90.00°
Space group Fddd (No. 70, origin choice 2)
One atom of each set of equivalent atoms:
Ga 0.007 0.293 0.050 [32 per cell]
O 0.053 0.009 0.385 [32 per cell]
O 0.125 0.125 0.125 [8 per cell]